Structure and simulated powder X-ray diffraction pattern of Ba2Ti4Fe2O13 (a DFT-relaxed cell (PBE+U, Alexandria); Cu Kα (weighted mean of Kα1 and Kα2)).
Neutral-atom scattering factors, no anomalous dispersion.

The 6 most intense peaks (2θ = 10–80°), by angle:
19.41 deg, rel. 71
28.73 deg, rel. 88
29.49 deg, rel. 98
29.94 deg, rel. 100
31.24 deg, rel. 71
46.20 deg, rel. 64

Structure:
Lattice parameters (Å, degrees): 7.950 7.950 9.251 98.38 98.38 28.62
Atoms (fractional coordinates):
Ba: 0.049 0.049 0.268
Ba: 0.951 0.951 0.732
Ti: 0.333 0.333 0.063
Ti: 0.378 0.378 0.413
Ti: 0.622 0.622 0.587
Ti: 0.667 0.667 0.937
Fe: 0.258 0.258 0.735
Fe: 0.742 0.742 0.265
O: 0.131 0.131 0.612
O: 0.200 0.200 0.930
O: 0.266 0.266 0.261
O: 0.335 0.335 0.585
O: 0.371 0.371 0.885
O: 0.430 0.430 0.198
O: 0.500 0.500 0.500
O: 0.570 0.570 0.802
O: 0.629 0.629 0.115
O: 0.665 0.665 0.415
O: 0.734 0.734 0.739
O: 0.800 0.800 0.070
O: 0.869 0.869 0.388